Computed powder diffraction line list of LiCu2Te4 for CuKα, from the PBE geometry in Alexandria.

Structure:
```
14
Lattice="7.780 0.000 0.000 3.877 6.918 0.000 3.890 -2.143 6.577" Properties=species:S:1:pos:R:3 pbc="T T T"
Li 3.884 -0.028 2.534
Li 11.664 4.803 4.042
Cu 0.000 0.000 0.000
Cu 1.939 3.459 0.000
Cu 5.829 3.459 0.000
Cu 7.774 2.387 3.288
Te 5.985 3.480 4.993
Te 3.884 4.641 1.411
Te 7.773 0.338 5.014
Te 9.559 3.493 5.008
Te 5.989 1.282 1.569
Te 7.775 4.437 1.562
Te 11.664 0.134 5.165
Te 9.563 1.294 1.584
```

Peak list (8 most intense, 15 to 90 degrees two-theta, low angle first)
2θ 27.12, rel. 47, (0 2 0); 2θ 27.93, rel. 45, (2 2 0); 2θ 31.85, rel. 100, (2 2 2); 2θ 31.98, rel. 50, (0 2 -2); 2θ 44.60, rel. 19, (0 2 2); 2θ 45.75, rel. 70, (2 4 0); 2θ 46.70, rel. 17, (4 2 2); 2θ 55.92, rel. 17, (0 4 0)